Starting from a PBE-relaxed structure, the powder XRD pattern of Y2Ti2Fe22N was computed for a wavelength of 1.5418 Å.
No peak broadening, texture or thermal motion is included.

Largest 12 diffraction maxima, low angle first, 2θ = 5–70°:
| h k l | two_theta | I_rel |
| --- | --- | --- |
| 3 1 -1 | 30.0 | 175 |
| 4 0 -2 | 33.2 | 75 |
| 3 1 -3 | 36.8 | 386 |
| 0 2 0 | 37.8 | 172 |
| 4 0 4 | 42.4 | 726 |
| 1 1 -5 | 42.7 | 1000 |
| 2 2 2 | 43.6 | 805 |
| 6 0 -2 | 47.6 | 200 |
| 3 1 5 | 47.9 | 265 |
| 4 2 0 | 48.7 | 501 |
| 6 2 2 | 62.4 | 74 |
| 8 0 -2 | 63.5 | 64 |

```
data_Y2Ti2Fe22N
_chemical_formula_sum 'Y4 Ti4 Fe44 N2'
_cell_length_a 12.084
_cell_length_b 4.757
_cell_length_c 12.058
_cell_angle_alpha 90.00
_cell_angle_beta 90.08
_cell_angle_gamma 90.00
_symmetry_space_group_name_H-M 'C 1 m 1'
_symmetry_Int_Tables_number 8
loop_
_symmetry_equiv_pos_as_xyz
'x,y,z'
'x,-y,z'
'x+1/2,y+1/2,z'
'x+1/2,-y+1/2,z'
loop_
_atom_site_label
_atom_site_type_symbol
_atom_site_fract_x
_atom_site_fract_y
_atom_site_fract_z
Y1 Y 0.000 0.000 0.000
Y2 Y 0.000 0.500 0.500
Ti1 Ti 0.312 0.000 0.314
Ti2 Ti 0.315 0.500 0.812
Fe1 Fe 0.106 0.500 0.882
Fe2 Fe 0.107 0.000 0.388
Fe3 Fe 0.109 0.500 0.111
Fe4 Fe 0.115 0.000 0.612
Fe5 Fe 0.174 0.000 0.176
Fe6 Fe 0.175 0.500 0.319
Fe7 Fe 0.177 0.000 0.816
Fe8 Fe 0.177 0.500 0.674
Fe9 Fe 0.246 0.250 0.997
Fe10 Fe 0.247 0.251 0.498
Fe11 Fe 0.317 0.500 0.177
Fe12 Fe 0.320 0.000 0.675
Fe13 Fe 0.382 0.500 0.384
Fe14 Fe 0.384 0.000 0.107
Fe15 Fe 0.386 0.500 0.604
Fe16 Fe 0.387 0.000 0.884
Fe17 Fe 0.497 0.250 0.251
Fe18 Fe 0.499 0.249 0.742
N1 N 0.498 0.000 0.997
```